# Ho3TmAl4
Computed powder XRD pattern, Cu Kα (λ = 1.5418 Å). Input: a crystal structure in Alexandria, relaxed with PBE.

Atomic structure:
Cell: 3.572 3.572 14.286 Å, 90.00 90.00 90.00°
Space group P4/mmm (No. 123)
One atom of each set of equivalent atoms:
Ho 0.000 0.000 0.000 (multiplicity 1)
Ho 0.000 0.000 0.251 (multiplicity 2)
Tm 0.000 0.000 0.500 (multiplicity 1)
Al 0.500 0.500 0.126 (multiplicity 2)
Al 0.500 0.500 0.378 (multiplicity 2)

Top 7 peaks for 10° ≤ 2θ ≤ 80°, sorted by position:
2θ (°)  intensity  (hkl)
24.93  63  1 0 0
35.54  100  1 1 0
43.90  19  1 1 4
51.14  18  2 0 0
57.71  26  2 1 0
63.83  36  2 1 4
75.24  11  2 2 0

# HoTm5Al4
Computed powder XRD pattern, Cu Kα (λ = 1.5418 Å). Input: a crystal structure in Alexandria, relaxed with PBE.

Atomic structure:
Cell: 3.524 3.524 19.437 Å, 90.00 90.00 90.00°
Space group P4/mmm (No. 123)
One atom of each set of equivalent atoms:
Ho 0.000 0.000 0.000 (multiplicity 1)
Tm 0.500 0.500 0.128 (multiplicity 2)
Tm 0.500 0.500 0.315 (multiplicity 2)
Tm 0.500 0.500 0.500 (multiplicity 1)
Al 0.000 0.000 0.221 (multiplicity 2)
Al 0.000 0.000 0.407 (multiplicity 2)

Top 10 peaks for 10° ≤ 2θ ≤ 80°, sorted by position:
2θ (°)  intensity  (hkl)
22.88  14  0 0 5
25.27  39  1 0 0
27.53  15  0 0 6
31.36  18  1 0 4
34.35  100  1 0 5
36.04  61  1 1 0
45.95  15  1 1 6
51.89  22  2 0 0
58.43  17  1 0 11
63.71  34  2 1 5

# Ho4TmAl2
Computed powder XRD pattern, Cu Kα (λ = 1.5418 Å). Input: a crystal structure in Alexandria, relaxed with PBE.

Atomic structure:
Cell: 5.981 10.268 6.752 Å, 90.00 111.19 90.00°
Space group P2_1/c (No. 14)
One atom of each set of equivalent atoms:
Ho 0.004 0.160 0.499 (multiplicity 4)
Ho 0.496 0.709 0.499 (multiplicity 4)
Tm 0.000 0.000 0.000 (multiplicity 2)
Al 0.484 0.501 0.184 (multiplicity 4)

Top 10 peaks for 10° ≤ 2θ ≤ 80°, sorted by position:
2θ (°)  intensity  (hkl)
23.55  25  1 2 0
28.35  72  0 0 2
31.26  100  1 3 -1
32.10  65  2 0 0
32.26  21  1 2 -2
34.41  43  2 0 -2
36.31  68  1 3 1
48.41  25  1 3 -3
51.01  19  2 0 2
53.27  22  3 3 -1

# Ho4TmAl4
Computed powder XRD pattern, Cu Kα (λ = 1.5418 Å). Input: a crystal structure in Alexandria, relaxed with PBE.

Atomic structure:
Cell: 8.785 8.785 5.743 Å, 90.00 90.00 90.00°
Space group P4_2/n (No. 86, origin choice 2)
One atom of each set of equivalent atoms:
Ho 0.084 0.824 0.134 (multiplicity 8)
Tm 0.250 0.250 0.750 (multiplicity 2)
Al 0.056 0.154 0.350 (multiplicity 8)

Top 10 peaks for 10° ≤ 2θ ≤ 80°, sorted by position:
2θ (°)  intensity  (hkl)
18.46  52  1 0 1
27.51  52  2 1 1
32.22  80  3 1 0
32.80  100  1 0 2
34.38  70  3 0 1
35.91  37  1 3 1
40.20  52  2 3 1
53.20  30  5 1 0
53.56  27  4 1 2
66.81  26  6 1 1

# HoTm4Al2
Computed powder XRD pattern, Cu Kα (λ = 1.5418 Å). Input: a crystal structure in Alexandria, relaxed with PBE.

Atomic structure:
Cell: 6.039 10.266 6.660 Å, 90.00 112.65 90.00°
Space group P2_1/c (No. 14)
One atom of each set of equivalent atoms:
Ho 0.000 0.000 0.000 (multiplicity 2)
Tm 0.005 0.162 0.500 (multiplicity 4)
Tm 0.495 0.713 0.499 (multiplicity 4)
Al 0.471 0.501 0.183 (multiplicity 4)

Top 10 peaks for 10° ≤ 2θ ≤ 80°, sorted by position:
2θ (°)  intensity  (hkl)
23.56  25  1 2 0
29.06  72  0 0 2
31.19  100  1 3 -1
32.12  68  2 0 0
32.41  21  1 2 -2
34.11  46  2 0 -2
36.68  75  1 3 1
48.91  24  1 3 -3
52.93  24  3 3 -1
60.21  23  0 0 4

# Ho3Tm2Al2
Computed powder XRD pattern, Cu Kα (λ = 1.5418 Å). Input: a crystal structure in Alexandria, relaxed with PBE.

Atomic structure:
Cell: 5.2226 5.2226 23.1601 Å, 90.00 90.00 120.00°
Space group R-3m (No. 166, hexagonal axes)
One atom of each set of equivalent atoms:
Ho 0.0000 0.0000 0.0000 (multiplicity 3)
Ho 0.0000 0.0000 0.1529 (multiplicity 6)
Tm 0.0000 0.0000 0.4190 (multiplicity 6)
Al 0.0000 0.0000 0.2827 (multiplicity 6)

Top 10 peaks for 10° ≤ 2θ ≤ 80°, sorted by position:
2θ (°)  intensity  (hkl)
21.09  13  0 1 2
24.98  12  1 0 4
27.56  41  0 1 5
33.56  92  1 0 7
34.34  100  1 1 0
48.78  32  0 2 7
59.54  32  0 1 14
61.01  33  2 1 7
61.51  19  3 0 0
72.38  12  2 2 0

# Ho3Tm12Al
Computed powder XRD pattern, Cu Kα (λ = 1.5418 Å). Input: a crystal structure in Alexandria, relaxed with PBE.

Atomic structure:
Cell: 4.869 4.869 19.687 Å, 90.00 90.00 90.00°
Space group P4/mmm (No. 123)
One atom of each set of equivalent atoms:
Ho 0.000 0.000 0.000 (multiplicity 1)
Ho 0.000 0.000 0.254 (multiplicity 2)
Tm 0.000 0.500 0.128 (multiplicity 4)
Tm 0.000 0.500 0.382 (multiplicity 4)
Tm 0.500 0.500 0.000 (multiplicity 1)
Tm 0.500 0.500 0.258 (multiplicity 2)
Tm 0.500 0.500 0.500 (multiplicity 1)
Al 0.000 0.000 0.500 (multiplicity 1)

Top 10 peaks for 10° ≤ 2θ ≤ 80°, sorted by position:
2θ (°)  intensity  (hkl)
29.29  2  1 1 3
31.72  100  1 1 4
36.51  16  0 0 8
36.92  34  2 0 0
52.90  23  2 0 8
53.21  12  2 2 0
62.74  13  1 1 12
63.29  29  3 1 4
66.26  12  2 2 8
78.59  4  4 0 0

# HoTmAl6
Computed powder XRD pattern, Cu Kα (λ = 1.5418 Å). Input: a crystal structure in Alexandria, relaxed with PBE.

Atomic structure:
Cell: 6.1093 6.1093 4.7471 Å, 90.00 90.00 120.00°
Space group P-6m2 (No. 187)
One atom of each set of equivalent atoms:
Ho 0.0000 0.0000 0.0000 (multiplicity 1)
Tm 0.6667 0.3333 0.5000 (multiplicity 1)
Al 0.0313 0.5157 0.0000 (multiplicity 3)
Al 0.1830 0.3660 0.5000 (multiplicity 3)

Top 10 peaks for 10° ≤ 2θ ≤ 80°, sorted by position:
2θ (°)  intensity  (hkl)
16.76  28  1 0 0
25.20  100  1 0 1
29.24  44  1 1 0
33.89  22  2 0 0
37.91  23  0 0 2
38.98  92  2 0 1
48.58  22  1 1 2
49.46  26  2 1 1
51.78  22  3 0 0
60.60  25  2 2 0

# Ho12Tm3Al
Computed powder XRD pattern, Cu Kα (λ = 1.5418 Å). Input: a crystal structure in Alexandria, relaxed with PBE.

Atomic structure:
Cell: 4.897 4.897 19.838 Å, 90.00 90.00 90.00°
Space group P4/mmm (No. 123)
One atom of each set of equivalent atoms:
Ho 0.000 0.000 0.000 (multiplicity 1)
Ho 0.000 0.000 0.244 (multiplicity 2)
Ho 0.000 0.000 0.500 (multiplicity 1)
Ho 0.000 0.500 0.118 (multiplicity 4)
Ho 0.000 0.500 0.372 (multiplicity 4)
Tm 0.500 0.500 0.247 (multiplicity 2)
Tm 0.500 0.500 0.500 (multiplicity 1)
Al 0.500 0.500 0.000 (multiplicity 1)

Top 10 peaks for 10° ≤ 2θ ≤ 80°, sorted by position:
2θ (°)  intensity  (hkl)
29.11  2  1 1 3
31.51  100  1 1 4
36.22  16  0 0 8
36.71  33  2 0 0
52.53  23  2 0 8
52.88  12  2 2 0
62.23  13  1 1 12
62.87  28  3 1 4
65.79  12  2 2 8
78.06  4  4 0 0

# Ho4TmAl2
Computed powder XRD pattern, Cu Kα (λ = 1.5418 Å). Input: a crystal structure in Alexandria, relaxed with PBE.

Atomic structure:
Cell: 4.9939 4.9939 29.9335 Å, 90.00 90.00 120.00°
Space group R-3m (No. 166, hexagonal axes)
One atom of each set of equivalent atoms:
Ho 0.0000 0.0000 0.1030 (multiplicity 6)
Ho 0.0000 0.0000 0.2979 (multiplicity 6)
Tm 0.0000 0.0000 0.5000 (multiplicity 3)
Al 0.0000 0.0000 0.4007 (multiplicity 6)

Top 10 peaks for 10° ≤ 2θ ≤ 80°, sorted by position:
2θ (°)  intensity  (hkl)
25.41  100  0 1 5
35.97  54  1 1 0
36.51  50  1 0 10
44.55  23  2 0 5
52.18  18  0 2 10
58.53  20  1 2 5
59.28  19  1 1 15
64.66  10  3 0 0
65.01  19  2 1 10
66.06  8  0 1 20

# Ho2Tm3Al4
Computed powder XRD pattern, Cu Kα (λ = 1.5418 Å). Input: a crystal structure in Alexandria, relaxed with PBE.

Atomic structure:
Cell: 6.141 19.382 7.534 Å, 90.00 90.00 90.00°
Space group Cmce (No. 64)
One atom of each set of equivalent atoms:
Ho 0.000 0.089 0.104 (multiplicity 8)
Tm 0.000 0.000 0.500 (multiplicity 4)
Tm 0.250 0.249 0.750 (multiplicity 8)
Al 0.000 0.151 0.489 (multiplicity 8)
Al 0.250 0.087 0.750 (multiplicity 8)

Top 10 peaks for 10° ≤ 2θ ≤ 80°, sorted by position:
2θ (°)  intensity  (hkl)
25.37  100  0 2 2
27.61  40  0 6 0
29.72  93  1 5 1
30.54  91  2 2 0
31.10  46  1 3 2
36.65  52  0 6 2
37.58  46  1 7 1
37.80  70  2 0 2
42.31  30  2 4 2
64.85  45  2 6 4